Structure and computed powder diffractogram of Ce3Sn13Ir4 (a structure optimized by DFT (GGA-PBE); Cu Kα).
Peak positions follow from Bragg's law for the DFT cell and can differ from measured ones.

Peak list (10 most intense, 10 to 90 degrees two-theta, in order of falling intensity)
2.721 Å, I = 100.0; 2.003 Å, I = 45.3; 2.622 Å, I = 38.0; 2.453 Å, I = 35.1; 2.194 Å, I = 29.1; 4.905 Å, I = 26.9; 1.479 Å, I = 24.3; 1.592 Å, I = 16.7; 1.156 Å, I = 15.2; 2.832 Å, I = 14.5

Structural model:
```
Ce3Sn13Ir4
1.0
9.8108 0.0000 0.0000
0.0000 9.8108 0.0000
0.0000 0.0000 9.8108
Ce Sn Ir
6 26 8
Direct
0.0000 0.2500 0.5000
0.0000 0.7500 0.5000
0.2500 0.5000 0.0000
0.5000 0.0000 0.2500
0.5000 0.0000 0.7500
0.7500 0.5000 0.0000
0.0000 0.0000 0.0000
0.0000 0.3072 0.1529
0.0000 0.3072 0.8471
0.0000 0.6928 0.1529
0.0000 0.6928 0.8471
0.1529 0.0000 0.3072
0.1529 0.0000 0.6928
0.1928 0.5000 0.3471
0.1928 0.5000 0.6529
0.3072 0.1529 0.0000
0.3072 0.8471 0.0000
0.3471 0.1928 0.5000
0.3471 0.8072 0.5000
0.5000 0.3471 0.1928
0.5000 0.3471 0.8072
0.5000 0.5000 0.5000
0.5000 0.6529 0.1928
0.5000 0.6529 0.8072
0.6529 0.1928 0.5000
0.6529 0.8072 0.5000
0.6928 0.1529 0.0000
0.6928 0.8471 0.0000
0.8072 0.5000 0.3471
0.8072 0.5000 0.6529
0.8471 0.0000 0.3072
0.8471 0.0000 0.6928
0.2500 0.2500 0.2500
0.2500 0.2500 0.7500
0.2500 0.7500 0.2500
0.2500 0.7500 0.7500
0.7500 0.2500 0.2500
0.7500 0.2500 0.7500
0.7500 0.7500 0.2500
0.7500 0.7500 0.7500
```

=====

Structure and computed powder diffractogram of CeSn2Ir2 (a structure optimized by DFT (GGA-PBE); Cu Kα).
Peak positions follow from Bragg's law for the DFT cell and can differ from measured ones.

Peak list (10 most intense, 10 to 90 degrees two-theta, in order of falling intensity)
2.722 Å, I = 100.0; 2.216 Å, I = 70.5; 2.825 Å, I = 50.2; 2.067 Å, I = 45.4; 1.970 Å, I = 28.1; 1.743 Å, I = 24.6; 1.567 Å, I = 24.2; 1.358 Å, I = 24.0; 1.472 Å, I = 22.1; 1.248 Å, I = 18.7

Structural model:
```
CeSn2Ir2
1.0
4.4312 0.0000 0.0000
0.0000 4.4312 0.0000
0.0000 0.0000 10.9976
Ce Sn Ir
2 4 4
Direct
0.2500 0.2500 0.2461
0.7500 0.7500 0.7539
0.2500 0.2500 0.8692
0.2500 0.7500 0.5000
0.7500 0.2500 0.5000
0.7500 0.7500 0.1308
0.2500 0.2500 0.6342
0.2500 0.7500 0.0000
0.7500 0.2500 0.0000
0.7500 0.7500 0.3658
```

=====

Structure and computed powder diffractogram of CeSnIr (a structure optimized by DFT (GGA-PBE); Cu Kα).
Peak positions follow from Bragg's law for the DFT cell and can differ from measured ones.

Peak list (10 most intense, 10 to 90 degrees two-theta, in order of falling intensity)
2.541 Å, I = 100.0; 2.762 Å, I = 69.1; 2.104 Å, I = 40.6; 2.164 Å, I = 40.0; 2.454 Å, I = 32.4; 1.399 Å, I = 31.6; 2.042 Å, I = 27.5; 1.485 Å, I = 24.6; 1.570 Å, I = 16.7; 3.749 Å, I = 16.5

Structural model:
```
CeSnIr
1.0
7.4975 0.0000 0.0000
-3.7488 6.4931 0.0000
0.0000 0.0000 4.0844
Ce Sn Ir
3 3 3
Direct
0.0000 0.5870 0.0000
0.4130 0.4130 0.0000
0.5870 0.0000 0.0000
0.0000 0.2533 0.5000
0.2533 0.0000 0.5000
0.7467 0.7467 0.5000
0.0000 0.0000 0.0000
0.3333 0.6667 0.5000
0.6667 0.3333 0.5000
```

=====

Structure and computed powder diffractogram of CeZn20Ir2 (a structure optimized by DFT (GGA-PBE); Cu Kα).
Peak positions follow from Bragg's law for the DFT cell and can differ from measured ones.

Peak list (10 most intense, 10 to 90 degrees two-theta, in order of falling intensity)
2.160 Å, I = 100.0; 2.185 Å, I = 75.0; 1.266 Å, I = 39.4; 4.320 Å, I = 35.1; 2.006 Å, I = 33.2; 2.422 Å, I = 32.1; 2.533 Å, I = 32.1; 2.266 Å, I = 30.4; 2.068 Å, I = 26.7; 1.379 Å, I = 26.5

Structural model:
```
CeZn20Ir2
1.0
0.0000 7.1642 7.1642
7.1642 0.0000 7.1642
7.1642 7.1642 0.0000
Ce Zn Ir
2 40 4
Direct
0.1250 0.1250 0.1250
0.8750 0.8750 0.8750
0.0000 0.0000 0.0000
0.0000 0.0000 0.5000
0.0000 0.5000 0.0000
0.0565 0.3235 0.3235
0.0565 0.3235 0.7965
0.0565 0.7965 0.3235
0.2035 0.6765 0.6765
0.2035 0.6765 0.9435
0.2035 0.9435 0.6765
0.2368 0.2368 0.5132
0.2368 0.5132 0.2368
0.2368 0.5132 0.5132
0.3235 0.0565 0.3235
0.3235 0.0565 0.7965
0.3235 0.3235 0.0565
0.3235 0.3235 0.7965
0.3235 0.7965 0.0565
0.3235 0.7965 0.3235
0.4868 0.4868 0.7632
0.4868 0.7632 0.4868
0.4868 0.7632 0.7632
0.5000 0.0000 0.0000
0.5132 0.2368 0.2368
0.5132 0.2368 0.5132
0.5132 0.5132 0.2368
0.6765 0.2035 0.6765
0.6765 0.2035 0.9435
0.6765 0.6765 0.2035
0.6765 0.6765 0.9435
0.6765 0.9435 0.2035
0.6765 0.9435 0.6765
0.7632 0.4868 0.4868
0.7632 0.4868 0.7632
0.7632 0.7632 0.4868
0.7965 0.0565 0.3235
0.7965 0.3235 0.0565
0.7965 0.3235 0.3235
0.9435 0.2035 0.6765
0.9435 0.6765 0.2035
0.9435 0.6765 0.6765
0.0000 0.5000 0.5000
0.5000 0.0000 0.5000
0.5000 0.5000 0.0000
0.5000 0.5000 0.5000
```

=====

Structure and computed powder diffractogram of KCe3 (a structure optimized by DFT (GGA-PBE); Cu Kα).
Peak positions follow from Bragg's law for the DFT cell and can differ from measured ones.

Peak list (10 most intense, 10 to 90 degrees two-theta, in order of falling intensity)
2.950 Å, I = 100.0; 2.555 Å, I = 50.4; 1.540 Å, I = 41.8; 1.806 Å, I = 35.4; 1.172 Å, I = 16.9; 1.142 Å, I = 15.8; 5.109 Å, I = 12.8; 1.475 Å, I = 12.0; 3.613 Å, I = 11.3; 2.285 Å, I = 6.9

Structural model:
```
KCe3
1.0
5.1090 0.0000 0.0000
0.0000 5.1090 0.0000
0.0000 0.0000 5.1090
K Ce
1 3
Direct
0.0000 0.0000 0.0000
0.0000 0.5000 0.5000
0.5000 0.0000 0.5000
0.5000 0.5000 0.0000
```

=====

Structure and computed powder diffractogram of KLaCeSnO6 (a structure optimized by DFT (GGA-PBE); Cu Kα).
Peak positions follow from Bragg's law for the DFT cell and can differ from measured ones.

Peak list (10 most intense, 10 to 90 degrees two-theta, in order of falling intensity)
3.012 Å, I = 100.0; 1.739 Å, I = 41.0; 2.130 Å, I = 32.5; 1.138 Å, I = 21.8; 1.506 Å, I = 20.2; 1.347 Å, I = 18.0; 4.919 Å, I = 12.4; 4.260 Å, I = 10.1; 2.569 Å, I = 7.6; 1.230 Å, I = 6.7

Structural model:
```
KLaCeSnO6
1.0
0.0000 4.2598 4.2598
4.2598 0.0000 4.2598
4.2598 4.2598 0.0000
K La Ce Sn O
1 1 1 1 6
Direct
0.0000 0.0000 0.0000
0.5000 0.5000 0.5000
0.2500 0.2500 0.2500
0.7500 0.7500 0.7500
0.5082 0.5082 0.9918
0.5082 0.9918 0.5082
0.5082 0.9918 0.9918
0.9918 0.5082 0.5082
0.9918 0.5082 0.9918
0.9918 0.9918 0.5082
```

=====

Structure and computed powder diffractogram of KLaCeSnO6 (a structure optimized by DFT (GGA-PBE); Cu Kα).
Peak positions follow from Bragg's law for the DFT cell and can differ from measured ones.

Peak list (10 most intense, 10 to 90 degrees two-theta, in order of falling intensity)
2.993 Å, I = 100.0; 3.018 Å, I = 52.7; 1.735 Å, I = 23.9; 1.723 Å, I = 22.5; 1.739 Å, I = 21.6; 6.035 Å, I = 18.0; 2.139 Å, I = 16.2; 2.099 Å, I = 14.7; 2.129 Å, I = 14.7; 4.268 Å, I = 9.2

Structural model:
```
KLaCeSnO6
1.0
8.3958 0.0000 0.0000
0.0000 8.5157 0.0000
0.0000 0.0000 8.5549
K La Ce Sn O
4 4 4 4 24
Direct
0.2500 0.2500 0.2500
0.2500 0.7500 0.7500
0.7500 0.2500 0.2500
0.7500 0.7500 0.7500
0.2500 0.2500 0.7500
0.2500 0.7500 0.2500
0.7500 0.2500 0.7500
0.7500 0.7500 0.2500
0.0000 0.0000 0.0000
0.0000 0.5000 0.5000
0.5000 0.0000 0.5000
0.5000 0.5000 0.0000
0.0000 0.0000 0.5000
0.0000 0.5000 0.0000
0.5000 0.0000 0.0000
0.5000 0.5000 0.5000
0.0297 0.0573 0.7405
0.0297 0.4427 0.7595
0.0370 0.7429 0.9908
0.0370 0.7571 0.5092
0.2421 0.0233 0.4665
0.2421 0.4767 0.0335
0.2579 0.0233 0.0335
0.2579 0.4767 0.4665
0.4630 0.7429 0.5092
0.4630 0.7571 0.9908
0.4703 0.0573 0.7595
0.4703 0.4427 0.7405
0.5297 0.5573 0.2595
0.5297 0.9427 0.2405
0.5370 0.2429 0.0092
0.5370 0.2571 0.4908
0.7421 0.5233 0.5335
0.7421 0.9767 0.9665
0.7579 0.5233 0.9665
0.7579 0.9767 0.5335
0.9630 0.2429 0.4908
0.9630 0.2571 0.0092
0.9703 0.5573 0.2405
0.9703 0.9427 0.2595
```

=====

Structure and computed powder diffractogram of KCeMg14 (a structure optimized by DFT (GGA-PBE); Cu Kα).
Peak positions follow from Bragg's law for the DFT cell and can differ from measured ones.

Peak list (10 most intense, 10 to 90 degrees two-theta, in order of falling intensity)
2.681 Å, I = 100.0; 3.080 Å, I = 28.2; 6.160 Å, I = 27.5; 5.362 Å, I = 23.7; 2.724 Å, I = 22.6; 4.081 Å, I = 22.6; 1.489 Å, I = 19.9; 1.778 Å, I = 19.5; 1.564 Å, I = 17.9; 2.040 Å, I = 16.9

Structural model:
```
KCeMg14
1.0
7.1130 0.0000 0.0000
-3.5565 6.1600 0.0000
0.0000 0.0000 10.8948
K Ce Mg
1 1 14
Direct
0.0000 0.0000 0.0000
0.0000 0.0000 0.5000
0.0057 0.5029 0.0000
0.0075 0.5037 0.5000
0.1681 0.3362 0.2578
0.1681 0.3362 0.7422
0.1681 0.8319 0.2578
0.1681 0.8319 0.7422
0.4963 0.5037 0.5000
0.4963 0.9925 0.5000
0.4971 0.5029 0.0000
0.4971 0.9943 0.0000
0.6638 0.8319 0.2578
0.6638 0.8319 0.7422
0.6667 0.3333 0.2516
0.6667 0.3333 0.7484
```

=====

Structure and computed powder diffractogram of KCeMg6O8 (a structure optimized by DFT (GGA-PBE); Cu Kα).
Peak positions follow from Bragg's law for the DFT cell and can differ from measured ones.

Peak list (10 most intense, 10 to 90 degrees two-theta, in order of falling intensity)
2.303 Å, I = 100.0; 2.649 Å, I = 54.8; 1.619 Å, I = 51.7; 4.110 Å, I = 42.9; 2.276 Å, I = 41.7; 3.067 Å, I = 37.3; 1.629 Å, I = 30.4; 4.607 Å, I = 26.5; 4.553 Å, I = 26.3; 1.325 Å, I = 24.3

Structural model:
```
KCeMg6O8
1.0
4.6065 0.0000 0.0000
0.0000 4.6065 0.0000
0.0000 0.0000 9.1052
K Ce Mg O
1 1 6 8
Direct
0.0000 0.0000 0.0000
0.5000 0.5000 0.0000
0.0000 0.0000 0.5000
0.0000 0.5000 0.2749
0.0000 0.5000 0.7251
0.5000 0.0000 0.2749
0.5000 0.0000 0.7251
0.5000 0.5000 0.5000
0.0000 0.0000 0.2805
0.0000 0.0000 0.7195
0.0000 0.5000 0.0000
0.0000 0.5000 0.5000
0.5000 0.0000 0.0000
0.5000 0.0000 0.5000
0.5000 0.5000 0.2688
0.5000 0.5000 0.7312
```

=====

Structure and computed powder diffractogram of KCeMg6O8 (a structure optimized by DFT (GGA-PBE); Cu Kα).
Peak positions follow from Bragg's law for the DFT cell and can differ from measured ones.

Peak list (10 most intense, 10 to 90 degrees two-theta, in order of falling intensity)
2.314 Å, I = 100.0; 1.629 Å, I = 54.7; 2.665 Å, I = 53.1; 4.629 Å, I = 47.1; 2.294 Å, I = 44.5; 4.133 Å, I = 43.0; 3.259 Å, I = 39.8; 1.637 Å, I = 30.5; 3.083 Å, I = 27.4; 1.332 Å, I = 25.7

Structural model:
```
KCeMg6O8
1.0
4.6290 0.0000 0.0000
0.0000 4.6290 0.0000
0.0000 0.0000 9.1756
K Ce Mg O
1 1 6 8
Direct
0.0000 0.0000 0.0000
0.0000 0.0000 0.5000
0.0000 0.5000 0.2255
0.0000 0.5000 0.7745
0.5000 0.0000 0.2255
0.5000 0.0000 0.7745
0.5000 0.5000 0.0000
0.5000 0.5000 0.5000
0.0000 0.0000 0.2598
0.0000 0.0000 0.7402
0.0000 0.5000 0.0000
0.0000 0.5000 0.5000
0.5000 0.0000 0.0000
0.5000 0.0000 0.5000
0.5000 0.5000 0.2472
0.5000 0.5000 0.7528
```